Record 1
La6PmTh3: theoretical PXRD pattern (Cu Ka), based on a DFT-relaxed cell (PBE, Alexandria).
Kinematic intensities with the Lorentz-polarization factor, no thermal factor.

Cell and atoms:
```
data_La6PmTh3
_chemical_formula_sum 'La18 Pm3 Th9'
_cell_length_a 10.1555
_cell_length_b 10.1555
_cell_length_c 12.3603
_cell_angle_alpha 90.00
_cell_angle_beta 90.00
_cell_angle_gamma 120.00
_symmetry_space_group_name_H-M 'R 3'
_symmetry_Int_Tables_number 146
_symmetry_space_group_name_Hall 'R 3'
loop_
_atom_site_label
_atom_site_type_symbol
_atom_site_fract_x
_atom_site_fract_y
_atom_site_fract_z
La1 La 0.0003 0.3229 0.0000
La2 La 0.0054 0.6797 0.5024
Pm1 Pm 0.0000 0.0000 0.2527
Th1 Th 0.0000 0.0000 0.0062
Th2 Th 0.0000 0.0000 0.5032
Th3 Th 0.0000 0.0000 0.7524
```

Most intense lines, 10 to 90 degrees two-theta, in order of rising 2θ:
d 5.076, intensity 24.5; d 3.200, intensity 49.8; d 2.932, intensity 100.0; d 2.915, intensity 26.6; d 2.263, intensity 23.5; d 1.915, intensity 18.0; d 1.693, intensity 19.6; d 1.465, intensity 18.7

***

Record 2
La3Pm8Th: theoretical PXRD pattern (Cu Ka), based on a DFT-relaxed cell (PBE, Alexandria).
Kinematic intensities with the Lorentz-polarization factor, no thermal factor.

Cell and atoms:
```
data_La3Pm8Th
_chemical_formula_sum 'La6 Pm16 Th2'
_cell_length_a 8.9371
_cell_length_b 8.9371
_cell_length_c 11.5581
_cell_angle_alpha 90.00
_cell_angle_beta 90.00
_cell_angle_gamma 90.00
_symmetry_space_group_name_H-M 'I -4 2 m'
_symmetry_Int_Tables_number 121
_symmetry_space_group_name_Hall 'I -4 2'
loop_
_atom_site_label
_atom_site_type_symbol
_atom_site_fract_x
_atom_site_fract_y
_atom_site_fract_z
La1 La 0.0000 0.0000 0.0000
La2 La 0.0000 0.5000 0.2500
Pm1 Pm 0.1205 0.1205 0.7492
Pm2 Pm 0.2460 0.2460 0.0062
Th1 Th 0.0000 0.0000 0.5000
```

Most intense lines, 10 to 90 degrees two-theta, in order of rising 2θ:
d 6.319, intensity 44.0; d 3.777, intensity 59.1; d 3.160, intensity 81.5; d 2.889, intensity 71.5; d 2.773, intensity 61.6; d 2.539, intensity 100.0; d 2.132, intensity 54.6; d 2.084, intensity 67.5

***

Record 3
La9Pm4Th: theoretical PXRD pattern (Cu Ka), based on a DFT-relaxed cell (PBE, Alexandria).
Kinematic intensities with the Lorentz-polarization factor, no thermal factor.

Cell and atoms:
```
data_La9Pm4Th
_chemical_formula_sum 'La18 Pm8 Th2'
_cell_length_a 10.1285
_cell_length_b 10.1285
_cell_length_c 11.6174
_cell_angle_alpha 90.00
_cell_angle_beta 90.00
_cell_angle_gamma 120.00
_symmetry_space_group_name_H-M 'P 63/m m c'
_symmetry_Int_Tables_number 194
_symmetry_space_group_name_Hall '-P 6c 2c'
loop_
_atom_site_label
_atom_site_type_symbol
_atom_site_fract_x
_atom_site_fract_y
_atom_site_fract_z
La1 La 0.0753 0.5377 0.2500
La2 La 0.2075 0.4150 0.5359
Pm1 Pm 0.0000 0.0000 0.0000
Pm2 Pm 0.1129 0.2257 0.2500
Th1 Th 0.3333 0.6667 0.7500
```

Most intense lines, 10 to 90 degrees two-theta, in order of rising 2θ:
d 2.904, intensity 60.1; d 2.879, intensity 100.0; d 2.835, intensity 37.7; d 2.532, intensity 14.3; d 1.819, intensity 24.2; d 1.688, intensity 17.2; d 1.679, intensity 21.1; d 1.459, intensity 23.7